[1]
Starting from a cell relaxed with PBE+U, the powder XRD pattern of Co5Bi8O20 was simulated for Cu Ka.
No peak broadening, texture or thermal motion is included.

Most intense lines, 10° ≤ 2θ ≤ 90°, low angle first:
hkl 1 0 1, d = 4.177 Å, 21.27 deg, I 22
hkl 1 1 -2, d = 4.113 Å, 21.61 deg, I 27
hkl 2 -2 0, d = 3.366 Å, 26.48 deg, I 24
hkl 1 -1 2, d = 3.239 Å, 27.53 deg, I 33
hkl 1 2 -2, d = 3.204 Å, 27.84 deg, I 26
hkl 2 1 -1, d = 3.159 Å, 28.25 deg, I 100
hkl 2 -2 1, d = 3.100 Å, 28.80 deg, I 59
hkl -2 1 2, d = 3.041 Å, 29.37 deg, I 48
hkl 1 1 -3, d = 2.925 Å, 30.56 deg, I 36
hkl 1 0 2, d = 2.745 Å, 32.62 deg, I 27
hkl 0 3 -2, d = 2.700 Å, 33.17 deg, I 27
hkl 0 2 1, d = 2.695 Å, 33.24 deg, I 29

```
data_Co5Bi8O20
_space_group_name_H-M_alt 'P 1'
_space_group_IT_number 1
_space_group_name_Hall 'P 1'
_cell_length_a 8.254
_cell_length_b 8.573
_cell_length_c 8.789
_cell_angle_alpha 112.03
_cell_angle_beta 107.55
_cell_angle_gamma 106.49
loop_
_atom_site_label
_atom_site_type_symbol
_atom_site_fract_x
_atom_site_fract_y
_atom_site_fract_z
Co1 Co 0.000 0.000 0.000
Co2 Co 0.103 0.453 0.649
Co3 Co 0.309 0.479 0.377
Co4 Co 0.486 0.163 0.265
Co5 Co 0.673 0.851 0.164
Bi1 Bi 0.148 0.052 0.422
Bi2 Bi 0.178 0.701 0.122
Bi3 Bi 0.342 0.358 0.955
Bi4 Bi 0.389 0.886 0.780
Bi5 Bi 0.672 0.031 0.566
Bi6 Bi 0.687 0.532 0.777
Bi7 Bi 0.838 0.311 0.104
Bi8 Bi 0.867 0.674 0.498
O1 O 0.098 0.195 0.245
O2 O 0.152 0.909 0.623
O3 O 0.154 0.525 0.493
O4 O 0.171 0.462 0.152
O5 O 0.224 0.987 0.050
O6 O 0.228 0.565 0.900
O7 O 0.246 0.316 0.661
O8 O 0.454 0.799 0.545
O9 O 0.499 0.425 0.344
O10 O 0.501 0.176 0.500
O11 O 0.505 0.827 0.261
O12 O 0.528 0.191 0.899
O13 O 0.597 0.586 0.037
O14 O 0.644 0.055 0.153
O15 O 0.839 0.087 0.900
O16 O 0.844 0.836 0.055
O17 O 0.858 0.787 0.754
O18 O 0.862 0.945 0.411
O19 O 0.874 0.464 0.935
O20 O 0.885 0.473 0.600
```

***

[2]
Starting from a cell relaxed with PBE+U, the powder XRD pattern of Cs5CaNi4F15 was simulated for Cu Ka.
No peak broadening, texture or thermal motion is included.

Most intense lines, 10° ≤ 2θ ≤ 90°, low angle first:
hkl 1 0 4, d = 4.157 Å, 21.37 deg, I 13
hkl 1 0 5, d = 3.737 Å, 23.81 deg, I 29
hkl 1 0 6, d = 3.364 Å, 26.50 deg, I 56
hkl 1 1 0, d = 3.157 Å, 28.26 deg, I 100
hkl 2 0 4, d = 2.514 Å, 35.71 deg, I 16
hkl 2 0 5, d = 2.412 Å, 37.28 deg, I 26
hkl 2 0 6, d = 2.302 Å, 39.13 deg, I 36
hkl 1 0 11, d = 2.141 Å, 42.21 deg, I 10
hkl 2 1 6, d = 1.860 Å, 48.97 deg, I 18
hkl 3 0 0, d = 1.823 Å, 50.04 deg, I 19
hkl 2 2 0, d = 1.579 Å, 58.46 deg, I 22
hkl 4 1 0, d = 1.193 Å, 80.48 deg, I 11

```
data_Cs5CaNi4F15
_space_group_name_H-M_alt 'P 63/m m c'
_space_group_IT_number 194
_space_group_name_Hall '-P 6c 2c'
_cell_length_a 6.3149
_cell_length_b 6.3149
_cell_length_c 25.5941
_cell_angle_alpha 90.00
_cell_angle_beta 90.00
_cell_angle_gamma 120.00
loop_
_atom_site_label
_atom_site_type_symbol
_atom_site_fract_x
_atom_site_fract_y
_atom_site_fract_z
Cs1 Cs 0.0000 0.0000 0.1550
Cs2 Cs 0.3333 0.6667 0.0580
Cs3 Cs 0.3333 0.6667 0.2500
Ca1 Ca 0.0000 0.0000 0.0000
Ni1 Ni 0.3333 0.6667 0.5907
Ni2 Ni 0.3333 0.6667 0.6972
F1 F 0.0516 0.5258 0.6461
F2 F 0.1751 0.3501 0.5493
F3 F 0.1921 0.3842 0.7500
```

***

[3]
Starting from a cell relaxed with PBE+U, the powder XRD pattern of BaSrNiWO6 was simulated for Cu Ka.
No peak broadening, texture or thermal motion is included.

Most intense lines, 10° ≤ 2θ ≤ 90°, low angle first:
hkl 1 1 1, d = 4.682 Å, 18.95 deg, I 20
hkl 2 0 0, d = 4.055 Å, 21.92 deg, I 3
hkl 2 2 0, d = 2.867 Å, 31.20 deg, I 100
hkl 3 1 1, d = 2.445 Å, 36.76 deg, I 10
hkl 4 0 0, d = 2.027 Å, 44.70 deg, I 31
hkl 3 3 1, d = 1.860 Å, 48.96 deg, I 4
hkl 4 2 2, d = 1.655 Å, 55.51 deg, I 40
hkl 5 1 1, d = 1.561 Å, 59.20 deg, I 4
hkl 4 4 0, d = 1.434 Å, 65.06 deg, I 19
hkl 5 3 1, d = 1.371 Å, 68.44 deg, I 4
hkl 6 2 0, d = 1.282 Å, 73.92 deg, I 17
hkl 4 4 4, d = 1.171 Å, 82.39 deg, I 6

```
data_BaSrNiWO6
_space_group_name_H-M_alt 'F -4 3 m'
_space_group_IT_number 216
_space_group_name_Hall 'F -4 2 3'
_cell_length_a 8.110
_cell_length_b 8.110
_cell_length_c 8.110
_cell_angle_alpha 90.00
_cell_angle_beta 90.00
_cell_angle_gamma 90.00
loop_
_atom_site_label
_atom_site_type_symbol
_atom_site_fract_x
_atom_site_fract_y
_atom_site_fract_z
Ba1 Ba 0.000 0.000 0.000
Sr1 Sr 0.000 0.000 0.500
Ni1 Ni 0.250 0.250 0.750
W1 W 0.250 0.250 0.250
O1 O 0.009 0.250 0.250
```